Calculated X-ray powder pattern of MgZn for copper Kα, from a crystal structure in the Materials Project, relaxed with PBE.
Neutral-atom scattering factors, no anomalous dispersion.

Main lines, by intensity (2θ = 10–90°):
d = 2.327 Å, 38.7 deg, rel. 100; d = 2.743 Å, 32.6 deg, rel. 30; d = 6.589 Å, 13.4 deg, rel. 29; d = 1.584 Å, 58.3 deg, rel. 20; d = 2.196 Å, 41.1 deg, rel. 16; d = 1.284 Å, 73.8 deg, rel. 15; d = 1.309 Å, 72.2 deg, rel. 14; d = 1.714 Å, 53.4 deg, rel. 13; d = 2.685 Å, 33.4 deg, rel. 12; d = 2.108 Å, 42.9 deg, rel. 10

```
MgZn
1.0
3.167 0.000 0.000
-1.584 2.743 0.000
0.000 0.000 13.178
Mg Zn
3 3
direct
0.000 0.000 0.000 Mg
0.000 0.000 0.332 Mg
0.333 0.667 0.806 Mg
0.000 0.000 0.640 Zn
0.333 0.667 0.166 Zn
0.333 0.667 0.496 Zn
```



Calculated X-ray powder pattern of In2Cu3P4O16 for copper Kα, from a crystal structure in the Materials Project, relaxed with PBE.
Neutral-atom scattering factors, no anomalous dispersion.

Main lines, by intensity (2θ = 10–90°):
d = 4.371 Å, 20.3 deg, rel. 100; d = 2.555 Å, 35.1 deg, rel. 73; d = 2.859 Å, 31.3 deg, rel. 65; d = 2.714 Å, 33.0 deg, rel. 58; d = 3.504 Å, 25.4 deg, rel. 58; d = 4.456 Å, 19.9 deg, rel. 30; d = 3.421 Å, 26.0 deg, rel. 28; d = 2.188 Å, 41.3 deg, rel. 26; d = 3.105 Å, 28.8 deg, rel. 26; d = 1.666 Å, 55.1 deg, rel. 21

```
In2Cu3P4O16
1.0
9.083 0.000 0.000
0.000 8.913 0.000
-2.427 0.000 7.622
In Cu P O
4 6 8 32
direct
0.244 0.001 0.247 In
0.244 0.499 0.747 In
0.756 0.501 0.253 In
0.756 0.999 0.753 In
0.000 0.000 0.500 Cu
0.000 0.500 0.000 Cu
0.404 0.627 0.386 Cu
0.404 0.873 0.886 Cu
0.596 0.127 0.114 Cu
0.596 0.373 0.614 Cu
0.086 0.687 0.355 P
0.086 0.813 0.855 P
0.402 0.162 0.659 P
0.402 0.338 0.159 P
0.598 0.662 0.841 P
0.598 0.838 0.341 P
0.914 0.187 0.145 P
0.914 0.313 0.645 P
0.061 0.139 0.105 O
0.061 0.361 0.605 O
0.087 0.636 0.842 O
0.087 0.864 0.342 O
0.111 0.625 0.187 O
0.111 0.875 0.687 O
0.236 0.633 0.506 O
0.236 0.867 0.006 O
0.271 0.110 0.501 O
0.271 0.390 0.001 O
0.404 0.163 0.189 O
0.404 0.337 0.689 O
0.405 0.084 0.832 O
0.405 0.416 0.332 O
0.436 0.648 0.879 O
0.436 0.852 0.379 O
0.564 0.148 0.621 O
0.564 0.352 0.121 O
0.595 0.584 0.668 O
0.595 0.916 0.168 O
0.596 0.663 0.311 O
0.596 0.837 0.811 O
0.729 0.610 0.999 O
0.729 0.890 0.499 O
0.764 0.133 0.994 O
0.764 0.367 0.494 O
0.889 0.125 0.313 O
0.889 0.375 0.813 O
0.913 0.136 0.658 O
0.913 0.364 0.158 O
0.939 0.639 0.395 O
0.939 0.861 0.895 O
```